The following is a simulated powder XRD pattern of TcAgO4. It was derived from DFT lattice parameters and positions (GGA-PBE), using Cu Kα (λ = 1.5418 Å).
No peak broadening, texture or thermal motion is included.

Cell and atoms:
abc: 9.2171 7.3080 7.3549
angles: 90.00 90.00 90.00
Element x y z (fractional)
Tc  0.0818  0.2500  0.1709
Tc  0.4182  0.7500  0.6709
Tc  0.5818  0.2500  0.3291
Tc  0.9182  0.7500  0.8291
Ag  0.0988  0.7500  0.3092
Ag  0.4012  0.2500  0.8092
Ag  0.5988  0.7500  0.1908
Ag  0.9012  0.2500  0.6908
O  0.0567  0.7500  0.9913
O  0.0689  0.0550  0.3081
O  0.0689  0.4450  0.3081
O  0.2486  0.2500  0.0588
O  0.2514  0.7500  0.5588
O  0.4311  0.5550  0.8081
O  0.4311  0.9450  0.8081
O  0.4433  0.2500  0.4913
O  0.5567  0.7500  0.5087
O  0.5689  0.0550  0.1919
O  0.5689  0.4450  0.1919
O  0.7486  0.2500  0.4412
O  0.7514  0.7500  0.9412
O  0.9311  0.5550  0.6919
O  0.9311  0.9450  0.6919
O  0.9433  0.2500  0.0087

Most intense lines, 2θ from 10° to 90°, sorted by position:
Position (°2θ), Rel. int., hkl
19.26, 21, 2 0 0
19.65, 22, 1 1 1
22.77, 100, 2 0 1
24.20, 19, 0 0 2
24.36, 51, 0 2 0
28.85, 46, 1 1 2
33.59, 44, 2 2 1
45.75, 18, 1 3 2
49.15, 26, 3 1 3
61.57, 16, 3 3 3